Diffraction record for Li5Si2P4. The powder XRD pattern is theoretical, not measured: it uses a structure optimized by DFT (PBE) and CuKα.
No peak broadening, texture or thermal motion is included.

Structure:
Cell: 14.187 3.454 8.087 Å, 90.00 110.50 90.00°
Space group C2/m (No. 12)
Unique sites:
Li: 0.000 0.000 0.000
Li: 0.183 0.500 0.540
Li: 0.203 0.500 0.136
Si: 0.016 0.000 0.656
P: 0.116 0.500 0.795
P: 0.131 0.000 0.298

The 12 most intense peaks (15 to 90 degrees two-theta), by angle:
| h k l | d (Å) | Rel. int. |
| --- | --- | --- |
| 2 0 -2 | 3.937 | 37 |
| 0 0 2 | 3.788 | 84 |
| 4 0 -1 | 3.531 | 23 |
| 1 1 0 | 3.343 | 24 |
| 4 0 -2 | 3.091 | 30 |
| 1 1 1 | 2.964 | 100 |
| 3 1 -1 | 2.760 | 26 |
| 5 1 -1 | 2.193 | 25 |
| 1 1 3 | 1.935 | 62 |
| 7 1 -1 | 1.741 | 34 |
| 0 2 0 | 1.727 | 26 |
| 7 1 -3 | 1.640 | 23 |

Diffraction record for Li5SiP3. The powder XRD pattern is theoretical, not measured: it uses a structure optimized by DFT (PBE) and CuKα.
No peak broadening, texture or thermal motion is included.

Structure:
Cell: 12.823 5.926 8.643 Å, 90.00 109.49 90.00°
Space group Cc (No. 9)
Unique sites:
Li: 0.000 0.213 0.000
Li: 0.161 0.241 0.808
Li: 0.176 0.264 0.306
Li: 0.324 0.234 0.636
Li: 0.346 0.261 0.146
Si: 0.001 0.326 0.423
P: 0.002 0.038 0.267
P: 0.158 0.490 0.553
P: 0.343 0.011 0.899

The 12 most intense peaks (15 to 90 degrees two-theta), by angle:
| h k l | d (Å) | Rel. int. |
| --- | --- | --- |
| 1 1 -1 | 4.789 | 21 |
| 1 1 1 | 4.183 | 12 |
| 0 0 2 | 4.069 | 25 |
| 1 1 -2 | 3.492 | 100 |
| 3 1 0 | 3.332 | 58 |
| 2 0 -4 | 2.161 | 15 |
| 4 2 -2 | 2.090 | 66 |
| 6 0 0 | 2.015 | 20 |
| 5 1 -4 | 1.811 | 10 |
| 3 3 0 | 1.774 | 16 |
| 5 1 2 | 1.747 | 15 |
| 7 1 -2 | 1.743 | 11 |

Diffraction record for Li6Sn2P. The powder XRD pattern is theoretical, not measured: it uses a structure optimized by DFT (PBE) and CuKα.
No peak broadening, texture or thermal motion is included.

Structure:
Cell: 7.607 13.938 3.026 Å, 90.00 90.00 90.00°
Space group Cmmm (No. 65)
Unique sites:
Li: 0.170 0.160 0.000
Li: 0.226 0.500 0.500
Sn: 0.000 0.328 0.500
P: 0.000 0.000 0.000

The 12 most intense peaks (15 to 90 degrees two-theta), by angle:
| h k l | d (Å) | Rel. int. |
| --- | --- | --- |
| 1 3 0 | 3.965 | 100 |
| 2 0 0 | 3.804 | 42 |
| 0 0 1 | 3.026 | 15 |
| 0 2 1 | 2.776 | 13 |
| 1 1 1 | 2.756 | 27 |
| 1 3 1 | 2.406 | 38 |
| 2 0 1 | 2.368 | 17 |
| 0 6 0 | 2.323 | 16 |
| 2 2 1 | 2.242 | 21 |
| 3 3 0 | 2.226 | 28 |
| 2 6 0 | 1.981 | 30 |
| 3 3 1 | 1.793 | 13 |

Diffraction record for SrLiP5. The powder XRD pattern is theoretical, not measured: it uses a structure optimized by DFT (PBE) and CuKα.
No peak broadening, texture or thermal motion is included.

Structure:
Cell: 4.776 11.075 12.559 Å, 90.00 94.03 90.00°
Space group C2/c (No. 15)
Unique sites:
Sr: 0.000 0.074 0.250
Li: 0.000 0.500 0.000
P: 0.000 0.270 0.750
P: 0.106 0.174 0.483
P: 0.148 0.156 0.884

The 12 most intense peaks (15 to 90 degrees two-theta), by angle:
| h k l | d (Å) | Rel. int. |
| --- | --- | --- |
| 0 2 1 | 5.065 | 20 |
| 1 1 0 | 4.376 | 100 |
| 0 2 2 | 4.149 | 20 |
| 1 1 -2 | 3.701 | 38 |
| 0 2 3 | 3.334 | 47 |
| 0 0 4 | 3.131 | 28 |
| 1 3 -1 | 2.870 | 24 |
| 1 3 1 | 2.815 | 37 |
| 1 3 2 | 2.603 | 38 |
| 1 3 -3 | 2.442 | 24 |
| 1 3 3 | 2.345 | 22 |
| 2 0 -2 | 2.282 | 42 |

Diffraction record for Sr2Li5P3. The powder XRD pattern is theoretical, not measured: it uses a structure optimized by DFT (PBE) and CuKα.
No peak broadening, texture or thermal motion is included.

Structure:
Cell: 4.316 25.907 7.054 Å, 90.00 90.00 90.00°
Space group Cmc2_1 (No. 36)
Unique sites:
Sr: 0.000 0.024 0.000
Sr: 0.000 0.326 0.980
Li: 0.000 0.088 0.609
Li: 0.000 0.202 0.111
Li: 0.000 0.232 0.736
Li: 0.000 0.370 0.502
Li: 0.000 0.440 0.847
P: 0.000 0.111 0.267
P: 0.000 0.270 0.409
P: 0.000 0.449 0.216

The 12 most intense peaks (15 to 90 degrees two-theta), by angle:
| h k l | d (Å) | Rel. int. |
| --- | --- | --- |
| 0 4 1 | 4.771 | 29 |
| 1 3 0 | 3.861 | 33 |
| 0 6 1 | 3.683 | 11 |
| 1 1 1 | 3.645 | 15 |
| 0 0 2 | 3.527 | 12 |
| 0 6 2 | 2.732 | 17 |
| 1 3 2 | 2.607 | 100 |
| 0 10 1 | 2.432 | 21 |
| 2 0 0 | 2.158 | 15 |
| 1 13 1 | 1.753 | 10 |
| 2 10 1 | 1.614 | 12 |
| 3 3 2 | 1.317 | 11 |

Diffraction record for Li7TaP6. The powder XRD pattern is theoretical, not measured: it uses a structure optimized by DFT (PBE) and CuKα.
No peak broadening, texture or thermal motion is included.

Structure:
Cell: 6.582 6.596 6.604 Å, 71.79 71.87 71.90°
Space group P1 (No. 1)
Unique sites:
Li: 0.000 0.000 0.000
Li: 0.011 0.490 0.821
Li: 0.142 0.913 0.481
Li: 0.188 0.479 0.332
Li: 0.435 0.150 0.951
Li: 0.520 0.667 0.811
Li: 0.672 0.620 0.244
Ta: 0.646 0.125 0.457
P: 0.254 0.171 0.646
P: 0.410 0.454 0.610
P: 0.692 0.314 0.066
P: 0.800 0.889 0.785
P: 0.834 0.734 0.503
P: 0.975 0.278 0.220

The 12 most intense peaks (15 to 90 degrees two-theta), by angle:
| h k l | d (Å) | Rel. int. |
| --- | --- | --- |
| 1 1 0 | 4.929 | 100 |
| 1 1 1 | 4.850 | 50 |
| 1 1 -1 | 3.265 | 25 |
| 2 1 1 | 3.197 | 30 |
| 2 0 0 | 3.043 | 18 |
| 1 0 2 | 3.027 | 39 |
| 2 1 0 | 3.019 | 17 |
| 2 0 -1 | 2.495 | 34 |
| 2 1 -1 | 2.392 | 37 |
| 1 1 -2 | 2.234 | 21 |
| 2 1 3 | 2.057 | 20 |
| 2 -2 1 | 1.844 | 21 |

Diffraction record for LiTbU2P4. The powder XRD pattern is theoretical, not measured: it uses a structure optimized by DFT (PBE) and CuKα.
No peak broadening, texture or thermal motion is included.

Structure:
Cell: 6.840 3.970 6.841 Å, 90.00 109.54 90.00°
Space group P2/m (No. 10)
Unique sites:
Li: 0.000 0.000 0.000
Tb: 0.000 0.500 0.500
U: 0.500 0.000 0.500
U: 0.500 0.500 0.000
P: 0.258 0.000 0.754
P: 0.266 0.500 0.256

The 12 most intense peaks (15 to 90 degrees two-theta), by angle:
| h k l | d (Å) | Rel. int. |
| --- | --- | --- |
| 1 0 -2 | 3.376 | 31 |
| 1 1 -1 | 3.236 | 42 |
| 2 0 0 | 3.223 | 42 |
| 1 1 1 | 2.797 | 100 |
| 2 1 1 | 2.151 | 13 |
| 1 1 -3 | 1.977 | 49 |
| 2 2 0 | 1.690 | 14 |
| 3 1 1 | 1.685 | 28 |
| 2 2 -2 | 1.618 | 13 |
| 0 0 4 | 1.612 | 13 |
| 0 2 4 | 1.251 | 17 |
| 2 0 -6 | 1.140 | 13 |